Starting from a PBE-relaxed structure, the powder X-ray diffraction pattern of Ac8Pr3Nd was simulated for a wavelength of 1.5418 Å.
Neutral-atom scattering factors, no anomalous dispersion.

Main lines, by intensity (2θ from 5° to 70°):
- 29.76°, rel. 100
- 29.88°, rel. 48
- 28.30°, rel. 38
- 51.05°, rel. 34
- 38.92°, rel. 24
- 55.09°, rel. 24
- 26.11°, rel. 22
- 46.22°, rel. 20
- 55.80°, rel. 17
- 26.24°, rel. 12

Structural model:
```
12
Lattice="-5.9226 6.3064 3.3959 5.9226 -6.3064 3.3959 5.9226 6.3064 -3.3959" Properties=species:S:1:pos:R:3 pbc="T T T"
Ac 1.9290 0.0000 0.0000
Ac 9.9162 0.0000 0.0000
Ac 3.9974 3.1485 -1.0661
Ac 7.8477 3.1485 -1.0661
Ac 1.9263 6.3064 -0.0031
Ac 3.9962 0.0000 3.3929
Ac -1.9252 3.1579 2.3298
Ac 1.9252 3.1579 2.3298
Pr 5.9226 -3.1499 2.2362
Pr 0.0000 0.0000 3.4840
Pr 5.9226 3.1499 2.2362
Nd 5.9226 0.0000 0.0838
```